Entry 1:
Diffraction record for SrTbO3. The XRD peak list is simulated, not measured: it uses a crystal structure in the Materials Project, relaxed with GGA-PBE and Cu Kα.
No peak broadening, texture or thermal motion is included.

Crystal structure
Unit cell a=6.227 b=8.598 c=6.048 alpha=90.00 beta=90.00 gamma=90.00
Fractional positions:
Sr (0.051, 0.250, 0.017)
Sr (0.449, 0.750, 0.517)
Sr (0.551, 0.250, 0.483)
Sr (0.949, 0.750, 0.983)
Tb (0.000, 0.000, 0.500)
Tb (0.000, 0.500, 0.500)
Tb (0.500, 0.000, 0.000)
Tb (0.500, 0.500, 0.000)
O (0.050, 0.750, 0.387)
O (0.205, 0.560, 0.797)
O (0.205, 0.940, 0.797)
O (0.295, 0.060, 0.297)
O (0.295, 0.440, 0.297)
O (0.450, 0.250, 0.887)
O (0.550, 0.750, 0.113)
O (0.705, 0.560, 0.703)
O (0.705, 0.940, 0.703)
O (0.795, 0.060, 0.203)
O (0.795, 0.440, 0.203)
O (0.950, 0.250, 0.613)

Largest 8 diffraction maxima, in order of falling intensity, 2θ from 10° to 90°:
29.25 deg, rel. 100; 52.22 deg, rel. 36; 41.63 deg, rel. 24; 28.67 deg, rel. 23; 29.54 deg, rel. 23; 51.15 deg, rel. 18; 20.47 deg, rel. 16; 60.65 deg, rel. 13

=====

Entry 2:
Diffraction record for Hg2P2O7. The XRD peak list is simulated, not measured: it uses a crystal structure in the Materials Project, relaxed with GGA-PBE and Cu Kα.
No peak broadening, texture or thermal motion is included.

Crystal structure
Unit cell a=6.828 b=7.029 c=7.213 alpha=77.65 beta=67.48 gamma=80.20
Fractional positions:
Hg (0.104, 0.173, 0.247)
Hg (0.303, 0.317, 0.623)
Hg (0.697, 0.683, 0.377)
Hg (0.896, 0.827, 0.753)
P (0.212, 0.660, 0.263)
P (0.359, 0.871, 0.832)
P (0.641, 0.129, 0.168)
P (0.788, 0.340, 0.737)
O (0.066, 0.831, 0.362)
O (0.080, 0.519, 0.236)
O (0.224, 0.767, 0.766)
O (0.262, 0.081, 0.880)
O (0.371, 0.559, 0.369)
O (0.378, 0.751, 0.044)
O (0.409, 0.129, 0.318)
O (0.591, 0.871, 0.682)
O (0.622, 0.249, 0.956)
O (0.629, 0.441, 0.631)
O (0.738, 0.919, 0.120)
O (0.776, 0.233, 0.234)
O (0.920, 0.481, 0.764)
O (0.934, 0.169, 0.638)

Largest 8 diffraction maxima, in order of falling intensity, 2θ from 10° to 90°:
27.43 deg, rel. 100; 20.14 deg, rel. 88; 26.74 deg, rel. 67; 31.42 deg, rel. 56; 27.15 deg, rel. 52; 26.07 deg, rel. 50; 25.67 deg, rel. 49; 28.14 deg, rel. 36

=====

Entry 3:
Diffraction record for TaZn2SbO6. The XRD peak list is simulated, not measured: it uses a crystal structure in the Materials Project, relaxed with GGA-PBE and Cu Kα.
No peak broadening, texture or thermal motion is included.

Crystal structure
Unit cell a=5.489 b=8.001 c=5.539 alpha=90.00 beta=92.49 gamma=90.00
Fractional positions:
Ta (0.000, 0.000, 0.000)
Ta (0.000, 0.500, 0.000)
Zn (0.022, 0.250, 0.514)
Zn (0.483, 0.750, 0.024)
Zn (0.517, 0.250, 0.976)
Zn (0.978, 0.750, 0.486)
Sb (0.500, 0.000, 0.500)
Sb (0.500, 0.500, 0.500)
O (0.089, 0.750, 0.124)
O (0.142, 0.570, 0.691)
O (0.142, 0.930, 0.691)
O (0.321, 0.071, 0.134)
O (0.321, 0.429, 0.134)
O (0.381, 0.250, 0.629)
O (0.619, 0.750, 0.371)
O (0.679, 0.571, 0.866)
O (0.679, 0.929, 0.866)
O (0.858, 0.070, 0.309)
O (0.858, 0.430, 0.309)
O (0.911, 0.250, 0.876)

Largest 8 diffraction maxima, in order of falling intensity, 2θ from 10° to 90°:
32.41 deg, rel. 100; 31.70 deg, rel. 71; 32.66 deg, rel. 34; 56.82 deg, rel. 33; 45.34 deg, rel. 17; 56.99 deg, rel. 16; 58.60 deg, rel. 16; 57.22 deg, rel. 15

=====

Entry 4:
Diffraction record for Cs2Ti4O9. The XRD peak list is simulated, not measured: it uses a crystal structure in the Materials Project, relaxed with GGA-PBE and Cu Kα.
No peak broadening, texture or thermal motion is included.

Crystal structure
Unit cell a=10.316 b=10.316 c=12.248 alpha=105.90 beta=105.90 gamma=21.54
Fractional positions:
Cs (0.017, 0.017, 0.339)
Cs (0.086, 0.086, 0.087)
Cs (0.914, 0.914, 0.913)
Cs (0.983, 0.983, 0.661)
Ti (0.253, 0.253, 0.834)
Ti (0.293, 0.293, 0.601)
Ti (0.330, 0.330, 0.374)
Ti (0.367, 0.367, 0.138)
Ti (0.633, 0.633, 0.862)
Ti (0.670, 0.670, 0.626)
Ti (0.707, 0.707, 0.399)
Ti (0.747, 0.747, 0.166)
O (0.159, 0.159, 0.859)
O (0.196, 0.196, 0.641)
O (0.231, 0.231, 0.422)
O (0.267, 0.267, 0.200)
O (0.311, 0.311, 0.972)
O (0.328, 0.328, 0.753)
O (0.366, 0.366, 0.535)
O (0.402, 0.402, 0.316)
O (0.449, 0.449, 0.122)
O (0.551, 0.551, 0.878)
O (0.598, 0.598, 0.684)
O (0.634, 0.634, 0.465)
O (0.672, 0.672, 0.247)
O (0.689, 0.689, 0.028)
O (0.733, 0.733, 0.800)
O (0.769, 0.769, 0.578)
O (0.804, 0.804, 0.359)
O (0.841, 0.841, 0.141)

Largest 8 diffraction maxima, in order of falling intensity, 2θ from 10° to 90°:
32.81 deg, rel. 100; 29.01 deg, rel. 100; 26.90 deg, rel. 90; 30.42 deg, rel. 74; 21.62 deg, rel. 55; 21.95 deg, rel. 52; 47.14 deg, rel. 46; 30.56 deg, rel. 43

=====

Entry 5:
Diffraction record for CeSe2. The XRD peak list is simulated, not measured: it uses a crystal structure in the Materials Project, relaxed with GGA-PBE and Cu Kα.
No peak broadening, texture or thermal motion is included.

Crystal structure
Unit cell a=8.744 b=8.744 c=9.101 alpha=96.58 beta=96.58 gamma=100.98
Fractional positions:
Ce (0.130, 0.381, 0.794)
Ce (0.190, 0.190, 0.284)
Ce (0.619, 0.870, 0.206)
Ce (0.810, 0.810, 0.716)
Se (0.059, 0.671, 0.773)
Se (0.275, 0.379, 0.076)
Se (0.304, 0.325, 0.571)
Se (0.329, 0.941, 0.227)
Se (0.621, 0.725, 0.924)
Se (0.675, 0.696, 0.429)
Se (0.868, 0.120, 0.255)
Se (0.880, 0.132, 0.745)

Largest 8 diffraction maxima, in order of falling intensity, 2θ from 10° to 90°:
13.12 deg, rel. 100; 13.32 deg, rel. 55; 16.20 deg, rel. 46; 19.84 deg, rel. 37; 40.22 deg, rel. 31; 20.90 deg, rel. 29; 15.35 deg, rel. 28; 31.79 deg, rel. 24

=====

Entry 6:
Diffraction record for Dy3NbO7. The XRD peak list is simulated, not measured: it uses a crystal structure in the Materials Project, relaxed with GGA-PBE and Cu Kα.
No peak broadening, texture or thermal motion is included.

Crystal structure
Unit cell a=5.385 b=7.581 c=8.288 alpha=63.75 beta=88.08 gamma=88.96
Fractional positions:
Dy (0.000, 0.000, 0.000)
Dy (0.010, 0.221, 0.482)
Dy (0.065, 0.513, 0.018)
Dy (0.506, 0.116, 0.254)
Dy (0.551, 0.589, 0.259)
Dy (0.973, 0.716, 0.525)
Nb (0.497, 0.876, 0.788)
Nb (0.519, 0.389, 0.740)
O (0.183, 0.981, 0.404)
O (0.221, 0.056, 0.735)
O (0.260, 0.762, 0.058)
O (0.283, 0.367, 0.266)
O (0.283, 0.494, 0.543)
O (0.293, 0.253, 0.972)
O (0.325, 0.663, 0.767)
O (0.674, 0.131, 0.815)
O (0.698, 0.961, 0.569)
O (0.753, 0.752, 0.971)
O (0.757, 0.869, 0.254)
O (0.761, 0.459, 0.513)
O (0.782, 0.345, 0.229)
O (0.787, 0.506, 0.804)

Largest 8 diffraction maxima, in order of falling intensity, 2θ from 10° to 90°:
28.81 deg, rel. 100; 29.07 deg, rel. 97; 28.56 deg, rel. 97; 29.60 deg, rel. 94; 33.49 deg, rel. 46; 34.09 deg, rel. 44; 33.30 deg, rel. 43; 47.76 deg, rel. 33